1.
Starting from a DFT-relaxed cell (GGA-PBE, Alexandria), the XRD peak list of NaYbB4H16 was calculated for Cu Kα (λ = 1.5418 Å).

Peak list (6 most intense, 2θ = 15–90°, low angle first)
- 5.411 Å, 2θ = 16.4°, I 100, hkl 1 1 1
- 4.949 Å, 2θ = 17.9°, I 63, hkl 0 2 1
- 3.703 Å, 2θ = 24.0°, I 34, hkl 1 1 2
- 3.603 Å, 2θ = 24.7°, I 29, hkl 1 3 0
- 3.197 Å, 2θ = 27.9°, I 34, hkl 2 2 1
- 2.228 Å, 2θ = 40.5°, I 27, hkl 1 5 1

```
data_NaYbB4H16
_chemical_formula_sum 'Na4 Yb4 B16 H64'
_cell_length_a 8.377
_cell_length_b 11.971
_cell_length_c 8.796
_cell_angle_alpha 90.00
_cell_angle_beta 90.00
_cell_angle_gamma 90.00
_space_group_name_H-M_alt 'C m c m'
_space_group_IT_number 63
_space_group_name_Hall '-C 2c 2'
loop_
_atom_site_label
_atom_site_type_symbol
_atom_site_fract_x
_atom_site_fract_y
_atom_site_fract_z
Na1 Na 0.000 0.000 0.000
Yb1 Yb 0.000 0.354 0.250
B1 B 0.000 0.235 0.022
B2 B 0.242 0.471 0.250
H1 H 0.000 0.179 0.591
H2 H 0.000 0.335 0.512
H3 H 0.119 0.218 0.103
H4 H 0.137 0.026 0.250
H5 H 0.160 0.491 0.136
H6 H 0.229 0.131 0.750
```


2.
Starting from a DFT-relaxed cell (GGA-PBE, Alexandria), the XRD peak list of BaBeOs2O8 was calculated for Cu Kα (λ = 1.5418 Å).

Peak list (6 most intense, 2θ = 15–90°, low angle first)
- 3.875 Å, 2θ = 22.9°, I 100, hkl 1 0 1
- 2.857 Å, 2θ = 31.3°, I 38, hkl 0 1 2
- 2.637 Å, 2θ = 34.0°, I 36, hkl 1 1 0
- 2.180 Å, 2θ = 41.4°, I 20, hkl 0 2 1
- 1.791 Å, 2θ = 51.0°, I 16, hkl 1 1 3
- 1.680 Å, 2θ = 54.6°, I 20, hkl 2 1 1

```
data_BaBeOs2O8
_chemical_formula_sum 'Ba1 Be1 Os2 O8'
_cell_length_a 5.2739
_cell_length_b 5.2739
_cell_length_c 7.3227
_cell_angle_alpha 90.00
_cell_angle_beta 90.00
_cell_angle_gamma 120.00
_space_group_name_H-M_alt 'P -3'
_space_group_IT_number 147
_space_group_name_Hall '-P 3'
loop_
_atom_site_label
_atom_site_type_symbol
_atom_site_fract_x
_atom_site_fract_y
_atom_site_fract_z
Ba1 Ba 0.0000 0.0000 0.0000
Be1 Be 0.0000 0.0000 0.5000
Os1 Os 0.3333 0.6667 0.6974
O1 O 0.0392 0.2974 0.6530
O2 O 0.3333 0.6667 0.9465
```


3.
Starting from a DFT-relaxed cell (GGA-PBE, Alexandria), the XRD peak list of ZrSc4H10 was calculated for Cu Kα (λ = 1.5418 Å).

Peak list (6 most intense, 2θ = 15–90°, low angle first)
- 2.746 Å, 2θ = 32.6°, I 100, hkl 1 2 1
- 2.394 Å, 2θ = 37.6°, I 15, hkl 0 0 2
- 2.370 Å, 2θ = 38.0°, I 29, hkl 3 1 0
- 1.684 Å, 2θ = 54.5°, I 22, hkl 3 1 2
- 1.441 Å, 2θ = 64.7°, I 12, hkl 1 2 3
- 1.430 Å, 2θ = 65.2°, I 23, hkl 5 0 1

```
data_ZrSc4H10
_chemical_formula_sum 'Zr2 Sc8 H20'
_cell_length_a 7.495
_cell_length_b 7.495
_cell_length_c 4.789
_cell_angle_alpha 90.00
_cell_angle_beta 90.00
_cell_angle_gamma 90.00
_space_group_name_H-M_alt 'I 4/m'
_space_group_IT_number 87
_space_group_name_Hall '-I 4'
loop_
_atom_site_label
_atom_site_type_symbol
_atom_site_fract_x
_atom_site_fract_y
_atom_site_fract_z
Zr1 Zr 0.000 0.000 0.000
Sc1 Sc 0.100 0.700 0.500
H1 H 0.000 0.500 0.250
H2 H 0.100 0.200 0.249
```


4.
Starting from a DFT-relaxed cell (GGA-PBE, Alexandria), the XRD peak list of AcSb3 was calculated for Cu Kα (λ = 1.5418 Å).

Peak list (6 most intense, 2θ = 15–90°, low angle first)
- 2.838 Å, 2θ = 31.5°, I 100, hkl 1 1 2
- 2.705 Å, 2θ = 33.1°, I 21, hkl 0 0 4
- 2.563 Å, 2θ = 35.0°, I 19, hkl 0 2 0
- 1.861 Å, 2θ = 49.0°, I 14, hkl 0 2 4
- 1.586 Å, 2θ = 58.2°, I 15, hkl 1 1 6
- 1.528 Å, 2θ = 60.6°, I 15, hkl 1 3 2

```
data_AcSb3
_chemical_formula_sum 'Ac2 Sb6'
_cell_length_a 4.390
_cell_length_b 5.126
_cell_length_c 10.820
_cell_angle_alpha 90.00
_cell_angle_beta 90.00
_cell_angle_gamma 90.00
_space_group_name_H-M_alt 'I m m m'
_space_group_IT_number 71
_space_group_name_Hall '-I 2 2'
loop_
_atom_site_label
_atom_site_type_symbol
_atom_site_fract_x
_atom_site_fract_y
_atom_site_fract_z
Ac1 Ac 0.000 0.000 0.000
Sb1 Sb 0.000 0.000 0.500
Sb2 Sb 0.000 0.500 0.234
```


Please write out number 2 again, unchanged.
Starting from a DFT-relaxed cell (GGA-PBE, Alexandria), the XRD peak list of BaBeOs2O8 was calculated for Cu Kα (λ = 1.5418 Å).

Peak list (6 most intense, 2θ = 15–90°, low angle first)
- 3.875 Å, 2θ = 22.9°, I 100, hkl 1 0 1
- 2.857 Å, 2θ = 31.3°, I 38, hkl 0 1 2
- 2.637 Å, 2θ = 34.0°, I 36, hkl 1 1 0
- 2.180 Å, 2θ = 41.4°, I 20, hkl 0 2 1
- 1.791 Å, 2θ = 51.0°, I 16, hkl 1 1 3
- 1.680 Å, 2θ = 54.6°, I 20, hkl 2 1 1

```
data_BaBeOs2O8
_chemical_formula_sum 'Ba1 Be1 Os2 O8'
_cell_length_a 5.2739
_cell_length_b 5.2739
_cell_length_c 7.3227
_cell_angle_alpha 90.00
_cell_angle_beta 90.00
_cell_angle_gamma 120.00
_space_group_name_H-M_alt 'P -3'
_space_group_IT_number 147
_space_group_name_Hall '-P 3'
loop_
_atom_site_label
_atom_site_type_symbol
_atom_site_fract_x
_atom_site_fract_y
_atom_site_fract_z
Ba1 Ba 0.0000 0.0000 0.0000
Be1 Be 0.0000 0.0000 0.5000
Os1 Os 0.3333 0.6667 0.6974
O1 O 0.0392 0.2974 0.6530
O2 O 0.3333 0.6667 0.9465
```